For KMgInMo3O12, the GGA+U geometry in Alexandria gives the computed X-ray powder pattern in this record (Cu Kα, 1.54184 Å).
Lines closer than 0.1° are merged.

Most intense lines, 15 to 90 degrees two-theta, low angle first:
(1 1 3), 2θ 21.28, I = 100.0
(0 0 6), 2θ 21.42, I = 9.7
(2 0 2), 2θ 22.41, I = 11.2
(0 2 4), 2θ 25.65, I = 15.4
(1 1 6), 2θ 28.38, I = 59.0
(1 2 2), 2θ 29.12, I = 6.4
(3 0 0), 2θ 32.08, I = 24.5
(1 1 9), 2θ 37.47, I = 14.9
(2 2 6), 2θ 43.33, I = 13.8
(3 1 8), 2θ 48.95, I = 8.0
(0 4 8), 2θ 52.71, I = 7.1
(1 4 6), 2θ 54.92, I = 6.6

Atomic structure:
a b c (Å): 9.6659 9.6659 24.8878
angles (deg): 90.00 90.00 120.00
Space group R3c (No. 161, hexagonal axes)
Unique sites:
K: 0.0000 0.0000 0.0000 [6 per cell]
Mg: 0.0000 0.0000 0.3575 [6 per cell]
In: 0.0000 0.0000 0.1444 [6 per cell]
Mo: 0.0509 0.3781 0.4184 [18 per cell]
O: 0.0243 0.1953 0.6923 [18 per cell]
O: 0.0346 0.1866 0.4109 [18 per cell]
O: 0.1665 0.4816 0.7576 [18 per cell]
O: 0.1689 0.4733 0.4760 [18 per cell]